This entry pairs a crystal structure of Ce3Nd2PuN6 with its theoretical powder XRD pattern. Radiation: copper Kα. Structure: a crystal structure in Alexandria, relaxed with GGA-PBE.

```
12
Lattice="3.1033 -5.3734 0.0000 3.1033 5.3734 0.0000 -2.0713 0.0000 5.8435" Properties=species:S:1:pos:R:3 pbc="T T T"
Ce 0.0000 0.0000 0.0000
Ce 3.1033 1.7876 0.0000
Ce 3.1033 -1.7876 0.0000
Nd 2.0676 3.5827 2.9217
Nd 2.0676 -3.5827 2.9217
Pu 2.0676 0.0000 2.9217
N 1.0781 1.7142 1.4215
N 0.0847 0.0000 4.4257
N 1.0781 -1.7142 1.4215
N 3.0571 1.7142 4.4219
N 4.0505 0.0000 1.4177
N 3.0571 -1.7142 4.4219
```

The 6 most intense peaks (2θ from 10° to 90°), sorted by position:
| two_theta | I/Imax |
| --- | --- |
| 30.57 | 100 |
| 35.45 | 72 |
| 51.00 | 50 |
| 60.64 | 46 |
| 63.64 | 17 |
| 85.79 | 19 |